Structure and theoretical PXRD pattern of NdGe4Pt2 (a cell relaxed with PBE; Cu Kα X-rays).
Lines closer than 0.1° are merged.

Peak list (12 most intense, 10° ≤ 2θ ≤ 90°, sorted by position)
d_spacing  2θ (°)  Rel. int.
3.693  24.10  15
3.239  27.54  27
3.129  28.53  22
2.599  34.51  100
2.543  35.30  64
2.357  38.19  34
2.177  41.47  58
1.996  45.44  42
1.991  45.56  34
1.957  46.39  15
1.599  57.64  21
1.219  78.49  17

```
NdGe4Pt2
1.0
17.528 0.000 0.000
0.000 4.355 0.000
0.000 0.000 6.971
Nd Ge Pt
4 16 8
Direct
0.142 0.250 0.014
0.358 0.750 0.514
0.642 0.250 0.486
0.858 0.750 0.986
0.037 0.750 0.860
0.064 0.250 0.470
0.177 0.750 0.328
0.195 0.750 0.739
0.305 0.250 0.239
0.323 0.250 0.828
0.436 0.750 0.970
0.463 0.250 0.360
0.537 0.750 0.640
0.564 0.250 0.030
0.677 0.750 0.172
0.695 0.750 0.761
0.805 0.250 0.261
0.823 0.250 0.672
0.936 0.750 0.530
0.963 0.250 0.140
0.029 0.750 0.238
0.211 0.250 0.543
0.289 0.750 0.043
0.471 0.250 0.738
0.529 0.750 0.262
0.711 0.250 0.957
0.789 0.750 0.457
0.971 0.250 0.762
```

Structure and theoretical PXRD pattern of NdPu2Ge2Pt7 (a cell relaxed with PBE; Cu Kα X-rays).
Lines closer than 0.1° are merged.

Peak list (12 most intense, 10° ≤ 2θ ≤ 90°, sorted by position)
d_spacing  2θ (°)  Rel. int.
3.530  25.23  18
2.826  31.66  83
2.671  33.56  26
2.645  33.89  52
2.549  35.21  100
2.460  36.53  84
2.137  42.28  21
2.053  44.12  70
2.044  44.33  28
2.018  44.92  21
1.462  63.66  19
1.442  64.61  19

```
NdPu2Ge2Pt7
1.0
2.927 -2.885 0.000
2.927 2.885 0.000
-2.094 0.000 14.120
Nd Pu Ge Pt
1 2 2 7
Direct
0.000 0.000 0.000
0.111 0.111 0.367
0.889 0.889 0.633
0.407 0.407 0.744
0.593 0.593 0.256
0.058 0.557 0.158
0.375 0.375 0.571
0.443 0.942 0.842
0.500 0.500 0.000
0.557 0.058 0.158
0.625 0.625 0.429
0.942 0.443 0.842
```

Structure and theoretical PXRD pattern of NdGe2Sb2Pt7 (a cell relaxed with PBE; Cu Kα X-rays).
Lines closer than 0.1° are merged.

Peak list (12 most intense, 10° ≤ 2θ ≤ 90°, sorted by position)
d_spacing  2θ (°)  Rel. int.
3.121  28.60  28
2.777  32.23  47
2.654  33.78  44
2.481  36.21  100
2.287  39.41  38
2.229  40.46  31
2.093  43.22  50
1.996  45.45  77
1.912  47.54  33
1.487  62.46  35
1.411  66.23  25
1.366  68.74  23

```
NdGe2Sb2Pt7
1.0
2.823 -2.822 0.000
2.823 2.822 0.000
-2.817 0.000 15.604
Nd Ge Sb Pt
1 2 2 7
Direct
0.000 0.000 0.000
0.379 0.379 0.756
0.621 0.621 0.244
0.212 0.212 0.425
0.788 0.788 0.575
0.073 0.573 0.147
0.299 0.299 0.598
0.427 0.927 0.853
0.500 0.500 0.000
0.573 0.073 0.147
0.701 0.701 0.402
0.927 0.427 0.853
```

Structure and theoretical PXRD pattern of NdSi2Ge2Pt7 (a cell relaxed with PBE; Cu Kα X-rays).
Lines closer than 0.1° are merged.

Peak list (12 most intense, 10° ≤ 2θ ≤ 90°, sorted by position)
d_spacing  2θ (°)  Rel. int.
7.293  12.14  21
4.862  18.25  31
3.957  22.47  25
2.917  30.65  56
2.750  32.57  26
2.614  34.31  59
2.544  35.29  71
2.522  35.59  73
2.427  37.05  88
2.084  43.43  38
1.980  45.84  100
1.836  49.67  27

```
NdSi2Ge2Pt7
1.0
2.812 -2.800 0.000
2.812 2.800 0.000
-1.563 0.000 14.586
Nd Si Ge Pt
1 2 2 7
Direct
0.000 0.000 0.000
0.426 0.426 0.748
0.574 0.574 0.252
0.155 0.155 0.424
0.845 0.845 0.576
0.048 0.547 0.160
0.402 0.402 0.588
0.453 0.952 0.840
0.500 0.500 0.000
0.547 0.048 0.160
0.598 0.598 0.412
0.952 0.453 0.840
```